[1]
Starting from the GGA-PBE geometry in Alexandria, the powder X-ray diffraction pattern of Pm2U2O7 was simulated for Cu Kα X-rays.
Neutral-atom scattering factors, no anomalous dispersion.

Top 10 peaks for 2θ = 10–90°, in order of rising 2θ:
3.312 Å, I = 5; 3.171 Å, I = 100; 2.746 Å, I = 37; 1.942 Å, I = 48; 1.656 Å, I = 47; 1.586 Å, I = 11; 1.373 Å, I = 8; 1.260 Å, I = 19; 1.228 Å, I = 15; 1.121 Å, I = 16

Structural model:
```
Pm2U2O7
1.0
0.000 5.493 5.493
5.493 0.000 5.493
5.493 5.493 0.000
Pm U O
4 4 14
Cartesian
0.000 0.000 0.000
2.746 2.746 0.000
2.746 0.000 2.746
0.000 2.746 2.746
5.493 2.746 2.746
2.746 5.493 2.746
2.746 2.746 5.493
5.493 5.493 5.493
1.373 1.373 1.373
4.119 4.119 1.637
4.119 1.637 4.119
6.602 4.119 4.119
6.866 6.866 4.383
6.866 4.383 6.866
9.349 6.866 6.866
1.637 4.119 4.119
4.119 6.602 4.119
4.119 4.119 6.602
4.383 6.866 6.866
6.866 9.349 6.866
6.866 6.866 9.349
9.612 9.612 9.612
```

=====

[2]
Starting from the GGA-PBE geometry in Alexandria, the powder X-ray diffraction pattern of Pm2UO8 was simulated for Cu Kα X-rays.
Neutral-atom scattering factors, no anomalous dispersion.

Top 10 peaks for 2θ = 10–90°, in order of rising 2θ:
5.267 Å, I = 50; 5.215 Å, I = 100; 3.346 Å, I = 33; 3.312 Å, I = 17; 3.205 Å, I = 75; 3.130 Å, I = 37; 2.910 Å, I = 24; 2.841 Å, I = 41; 2.131 Å, I = 44; 2.084 Å, I = 29

Structural model:
```
Pm2UO8
1.0
6.260 0.000 0.000
-3.123 5.599 0.000
-0.008 -3.584 5.586
Pm U O
2 1 8
Cartesian
0.004 1.870 0.514
3.125 0.145 5.072
-0.004 -1.792 2.793
0.002 -0.226 1.418
-1.760 2.997 1.414
1.366 -0.989 4.173
0.005 1.513 5.223
3.124 0.502 0.363
1.763 3.004 1.413
4.889 -0.982 4.172
3.127 2.241 4.168
```

=====

[3]
Starting from the GGA-PBE geometry in Alexandria, the powder X-ray diffraction pattern of Pm2U3O9 was simulated for Cu Kα X-rays.
Neutral-atom scattering factors, no anomalous dispersion.

Top 10 peaks for 2θ = 10–90°, in order of rising 2θ:
3.159 Å, I = 100; 2.757 Å, I = 16; 2.725 Å, I = 24; 1.938 Å, I = 32; 1.927 Å, I = 16; 1.659 Å, I = 14; 1.645 Å, I = 31; 1.580 Å, I = 12; 1.257 Å, I = 12; 1.115 Å, I = 11

Structural model:
```
Pm2U3O9
1.0
-1.927 1.927 13.787
1.927 -1.927 13.787
1.927 1.927 -13.787
Pm U O
2 3 9
Cartesian
0.000 0.000 5.354
0.000 0.000 22.220
0.000 0.000 0.000
0.000 0.000 11.080
0.000 0.000 16.494
1.927 0.000 1.407
1.927 0.000 4.161
1.927 0.000 9.626
1.927 0.000 12.380
0.000 1.927 1.301
0.000 1.927 3.932
0.000 1.927 6.893
0.000 1.927 9.855
0.000 1.927 12.486
```

=====

[4]
Starting from the GGA-PBE geometry in Alexandria, the powder X-ray diffraction pattern of PmY2UO8 was simulated for Cu Kα X-rays.
Neutral-atom scattering factors, no anomalous dispersion.

Top 10 peaks for 2θ = 10–90°, in order of rising 2θ:
5.367 Å, I = 21; 3.160 Å, I = 100; 3.103 Å, I = 95; 2.726 Å, I = 39; 2.683 Å, I = 19; 1.954 Å, I = 19; 1.912 Å, I = 70; 1.901 Å, I = 17; 1.654 Å, I = 30; 1.628 Å, I = 43

Structural model:
```
PmY2UO8
1.0
3.909 0.000 0.000
0.000 5.367 0.000
0.000 0.000 7.606
Pm Y U O
1 2 1 8
Cartesian
0.000 0.000 0.000
1.954 2.683 1.925
1.954 2.683 5.681
0.000 0.000 3.803
0.000 1.302 2.104
0.000 1.302 5.502
0.000 4.064 2.104
0.000 4.064 5.502
1.954 1.236 3.803
1.954 1.390 0.000
1.954 3.977 0.000
1.954 4.131 3.803
```